The following is a computed PXRD pattern of CeSm3. It was derived from a crystal structure in the Materials Project, relaxed with PBE, using Cu Ka.

The 6 most intense peaks (10° ≤ 2θ ≤ 90°), in order of rising 2θ:
- (1 1 1), 30.51°, d 2.930, intensity 100
- (2 0 0), 35.37°, d 2.538, intensity 51
- (2 2 0), 50.89°, d 1.794, intensity 36
- (3 1 1), 60.50°, d 1.530, intensity 43
- (3 3 1), 82.92°, d 1.164, intensity 18
- (4 2 0), 85.58°, d 1.135, intensity 16

Crystal structure
```
data_CeSm3
_chemical_formula_sum 'Ce1 Sm3'
_symmetry_space_group_name_H-M 'P m -3 m'
_symmetry_Int_Tables_number 221
_symmetry_space_group_name_Hall '-P 4 2 3'
_cell_length_a 5.0754
_cell_length_b 5.0754
_cell_length_c 5.0754
_cell_angle_alpha 90.00
_cell_angle_beta 90.00
_cell_angle_gamma 90.00
loop_
_atom_site_label
_atom_site_fract_x
_atom_site_fract_y
_atom_site_fract_z
Ce1 0.0000 0.0000 0.0000
Sm1 0.0000 0.5000 0.5000
```